Diffraction record for CrPPd. The powder XRD pattern is calculated, not measured: it uses DFT lattice parameters and positions (PBE) and Cu Kα (weighted mean of Kα1 and Kα2).

Largest 10 diffraction maxima, low angle first, 2θ = 10–90°:
two_theta  I_rel  hkl
24.7  14.4  0 0 1
27.8  22.9  1 1 0
37.5  100.0  1 1 1
41.0  34.7  2 0 1
43.0  36.6  2 1 0
49.1  23.7  3 0 0
50.3  20.6  2 1 1
50.7  17.2  0 0 2
68.6  17.2  2 1 2
79.7  19.1  3 2 1

Atomic structure:
abc: 6.4216 6.4216 3.6013
angles: 90.00 90.00 120.00
Atoms (fractional coordinates):
1 Cr 0.0000 0.6059 0.0000
2 Cr 0.3941 0.3941 0.0000
3 Cr 0.6059 0.0000 0.0000
4 P 0.0000 0.0000 0.0000
5 P 0.3333 0.6667 0.5000
6 P 0.6667 0.3333 0.5000
7 Pd 0.0000 0.2690 0.5000
8 Pd 0.2690 0.0000 0.5000
9 Pd 0.7310 0.7310 0.5000